FeTe3: calculated powder X-ray diffraction pattern (Cu Kα), based on a structure optimized by DFT (PBE).
Kinematic intensities with the Lorentz-polarization factor, no thermal factor.

Most intense lines, 2θ = 10–80°, most intense first:
Position (°2θ)  Rel. int.  index
31.55  100  1 1 -1
33.01  70  2 0 2
27.02  61  2 0 -1
31.24  44  0 0 3
48.64  38  3 1 1
55.66  30  0 2 0
36.69  28  1 1 2
43.56  28  1 1 -3

Structure:
a = 7.0993 Å, b = 3.3051 Å, c = 8.5916 Å
α = 90.00°, β = 90.97°, γ = 90.00°
Space group C2/m (No. 12)
Inequivalent atoms, fractional coordinates:
Fe1 0.0000 0.0000 0.0000 x2
Te1 0.0000 0.5000 0.5000 x2
Te2 0.1885 0.5000 0.8334 x4

Tm6FeTe4: calculated powder X-ray diffraction pattern (Cu Kα), based on a structure optimized by DFT (PBE).
Kinematic intensities with the Lorentz-polarization factor, no thermal factor.

Most intense lines, 2θ = 10–80°, most intense first:
Position (°2θ)  Rel. int.  index
35.21  100  2 2 3
31.99  34  1 3 1
33.24  34  2 1 4
53.55  30  6 0 0
35.95  25  0 0 6
25.86  23  1 2 2
66.20  13  0 6 6
45.49  12  3 2 4

Structure:
a = 11.8550 Å, b = 11.8550 Å, c = 14.9874 Å
α = 90.00°, β = 90.00°, γ = 120.00°
Space group R-3c (No. 167, hexagonal axes)
Inequivalent atoms, fractional coordinates:
Tm1 0.0264 0.1849 0.4033 x36
Fe1 0.0000 0.0000 0.0000 x6
Te1 0.0000 0.0000 0.2500 x6
Te2 0.0000 0.3665 0.2500 x18

ZnFe2Te: calculated powder X-ray diffraction pattern (Cu Kα), based on a structure optimized by DFT (PBE).
Kinematic intensities with the Lorentz-polarization factor, no thermal factor.

Most intense lines, 2θ = 10–80°, most intense first:
Position (°2θ)  Rel. int.  index
36.34  100  1 1 1
45.05  44  1 1 3
38.28  42  0 1 3
43.66  32  1 0 4
46.67  27  2 0 0
36.69  22  0 0 4
29.31  21  1 0 2
61.89  20  2 1 3

Structure:
a = 3.8923 Å, b = 3.3873 Å, c = 9.7986 Å
α = 90.00°, β = 90.00°, γ = 90.00°
Space group Amm2 (No. 38)
Inequivalent atoms, fractional coordinates:
Zn1 0.0000 0.0000 0.0000 x2
Fe1 0.0000 0.0000 0.7051 x2
Fe2 0.5000 0.0000 0.5620 x2
Te1 0.5000 0.0000 0.2903 x2

Th3Fe: calculated powder X-ray diffraction pattern (Cu Kα), based on a structure optimized by DFT (PBE).
Kinematic intensities with the Lorentz-polarization factor, no thermal factor.

Most intense lines, 2θ = 10–80°, most intense first:
Position (°2θ)  Rel. int.  index
30.73  100  1 1 1
47.16  25  3 0 0
40.69  22  1 1 2
53.88  21  1 1 3
56.98  20  3 0 2
30.12  19  0 0 2
57.35  18  2 2 1
26.71  16  1 1 0

Structure:
a = 6.6755 Å, b = 6.6755 Å, c = 5.9338 Å
α = 90.00°, β = 90.00°, γ = 120.00°
Space group P6_3/mcm (No. 193)
Inequivalent atoms, fractional coordinates:
Th1 0.0000 0.3372 0.2500 x6
Fe1 0.0000 0.0000 0.0000 x2